This entry pairs a crystal structure of K5TiS5 with its simulated X-ray diffraction stick pattern. Radiation: Cu Kα X-rays. Structure: a structure optimized by DFT (PBE).
Peak positions follow from Bragg's law for the DFT cell and can differ from measured ones.

Main lines, in order of rising 2θ (15° ≤ 2θ ≤ 90°):
2theta	I_rel
16.29	35
24.96	20
28.67	63
29.67	79
29.99	100
40.51	23
41.96	40
42.69	52
51.21	25
53.24	15

Structural model:
```
K5TiS5
1.0
7.0771 -2.9798 0.0000
7.0771 2.9798 0.0000
-2.7811 0.0000 7.9625
K Ti S
5 1 5
Direct
0.0000 0.0000 0.0000
0.3064 0.3064 0.1949
0.3294 0.3294 0.6510
0.6706 0.6706 0.3490
0.6936 0.6936 0.8051
0.0000 0.0000 0.5000
0.1239 0.1239 0.3644
0.1328 0.1328 0.7729
0.5000 0.5000 0.5000
0.8672 0.8672 0.2271
0.8761 0.8761 0.6356
```